The following is a calculated powder diffraction line list of LaCeNi10. It was derived from a DFT-relaxed cell (PBE, the Materials Project), using Cu Kα.

Largest 6 diffraction maxima, by angle, 10 to 90 degrees two-theta:
2theta  I/Imax  h k l
30.8  441  1 1 1
36.6  300  0 2 0
42.5  344  0 0 4
43.3  1000  1 2 0
45.7  274  2 0 0
70.5  216  1 3 3

Structure:
Unit cell a=3.9696 b=4.9160 c=8.5130 alpha=90.00 beta=90.00 gamma=90.00
Space group Pmmm (No. 47)
Asymmetric unit:
La: 0.0000 0.0000 0.0000 x1
Ce: 0.0000 0.5000 0.5000 x1
Ni: 0.0000 0.0000 0.3392 x2
Ni: 0.0000 0.5000 0.1743 x2
Ni: 0.5000 0.0000 0.5000 x1
Ni: 0.5000 0.2528 0.2550 x4
Ni: 0.5000 0.5000 0.0000 x1

The following is a calculated powder diffraction line list of Lu3InN. It was derived from a DFT-relaxed cell (PBE, the Materials Project), using Cu Kα.

Largest 6 diffraction maxima, by angle, 10 to 90 degrees two-theta:
2theta  I/Imax  h k l
33.1  1000  1 1 1
38.4  546  2 0 0
55.5  375  2 2 0
66.2  413  3 1 1
69.5  126  2 2 2
82.3  60  4 0 0

Structure:
Unit cell a=4.6843 b=4.6843 c=4.6843 alpha=90.00 beta=90.00 gamma=90.00
Space group Pm-3m (No. 221)
Asymmetric unit:
Lu: 0.0000 0.0000 0.5000 x3
In: 0.5000 0.5000 0.5000 x1
N: 0.0000 0.0000 0.0000 x1

The following is a calculated powder diffraction line list of ErFe10Mo2N. It was derived from a DFT-relaxed cell (PBE, the Materials Project), using Cu Kα.

Largest 6 diffraction maxima, by angle, 10 to 90 degrees two-theta:
2theta  I/Imax  h k l
36.3  439  1 0 3
36.6  413  1 3 0
41.6  472  0 0 4
42.1  550  1 2 3
42.3  821  1 3 2
43.5  1000  2 0 2

Structure:
Unit cell a=4.7469 b=8.6122 c=8.6911 alpha=90.00 beta=90.00 gamma=90.00
Space group Immm (No. 71)
Asymmetric unit:
Er: 0.0000 0.0000 0.0000 x2
Fe: 0.0000 0.0000 0.3596 x4
Fe: 0.0000 0.2788 0.5000 x4
Fe: 0.0000 0.5000 0.2798 x4
Fe: 0.2500 0.2500 0.2500 x8
Mo: 0.0000 0.3579 0.0000 x4
N: 0.0000 0.5000 0.5000 x2

The following is a calculated powder diffraction line list of La4YC10. It was derived from a DFT-relaxed cell (PBE, the Materials Project), using Cu Kα.

Largest 6 diffraction maxima, by angle, 10 to 90 degrees two-theta:
2theta  I/Imax  h k l
26.7  1000  1 1 5
27.4  361  0 2 0
32.2  291  2 0 0
32.8  277  0 0 10
48.0  300  1 3 5
54.9  347  2 2 10

Structure:
Unit cell a=5.5613 b=6.5105 c=27.3218 alpha=90.00 beta=90.00 gamma=90.00
Space group Fmmm (No. 69)
Asymmetric unit:
La: 0.0000 0.0000 0.0992 x8
La: 0.0000 0.0000 0.3003 x8
Y: 0.0000 0.0000 0.5000 x4
C: 0.0000 0.1002 0.0000 x8
C: 0.0000 0.0997 0.1999 x16
C: 0.0000 0.0997 0.4040 x16